The following is a calculated powder XRD pattern of Tl2Cd2Ge. It was derived from a cell relaxed with PBE, using Cu Kα (λ = 1.5418 Å).
Lines closer than 0.1° are merged.

The 10 most intense peaks (10 to 90 degrees two-theta), in order of rising 2θ:
- 2θ 24.58, d = 3.622 Å, I 9
- 2θ 30.13, d = 2.966 Å, I 18
- 2θ 32.63, d = 2.745 Å, I 100
- 2θ 34.73, d = 2.583 Å, I 24
- 2θ 39.33, d = 2.291 Å, I 21
- 2θ 53.46, d = 1.714 Å, I 17
- 2θ 55.22, d = 1.663 Å, I 17
- 2θ 60.93, d = 1.521 Å, I 17
- 2θ 65.54, d = 1.424 Å, I 8
- 2θ 72.63, d = 1.302 Å, I 10

Atomic structure:
Cell lengths 7.244, 7.244, 5.166 Å; angles 90.00, 90.00, 90.00 degrees
Space group P4/mbm (No. 127)
One atom of each set of equivalent atoms:
Tl  0.173  0.327  0.000 (multiplicity 4)
Cd  0.142  0.642  0.500 (multiplicity 4)
Ge  0.000  0.000  0.500 (multiplicity 2)